No. 1
For Sm2TiO, DFT lattice parameters and positions (PBE) gives the computed XRD peak list in this record (Cu Kα).

Most intense lines, 10 to 90 degrees two-theta, in order of falling intensity:
2theta	d/Å	I (rel.)
30.41	2.939	100
10.03	8.815	61
34.75	2.582	42
40.94	2.204	40
33.18	2.700	37
62.95	1.476	35
53.67	1.708	25
46.04	1.971	24
54.76	1.676	18
87.61	1.114	16

Atomic structure:
```
Sm2TiO
1.0
1.708 0.986 8.815
-1.708 0.986 8.815
0.000 -1.972 8.815
Sm Ti O
2 1 1
direct
0.112 0.112 0.112
0.888 0.888 0.888
0.000 0.000 0.000
0.500 0.500 0.500
```


No. 2
For Sm5Tl2O, DFT lattice parameters and positions (PBE) gives the computed XRD peak list in this record (Cu Kα).

Most intense lines, 10 to 90 degrees two-theta, in order of falling intensity:
2theta	d/Å	I (rel.)
33.76	2.655	100
32.56	2.750	66
30.72	2.911	59
30.90	2.894	44
32.75	2.735	40
35.48	2.530	37
31.95	2.802	33
64.36	1.448	28
52.83	1.733	27
28.97	3.082	25

Atomic structure:
```
Sm5Tl2O
1.0
8.862 0.000 0.000
0.000 6.813 0.000
0.000 0.000 14.464
Sm Tl O
20 8 4
direct
0.000 0.000 0.000
0.000 0.500 0.000
0.050 0.250 0.208
0.136 0.502 0.606
0.136 0.998 0.606
0.226 0.750 0.380
0.274 0.250 0.880
0.364 0.002 0.106
0.364 0.498 0.106
0.450 0.750 0.708
0.500 0.000 0.500
0.500 0.500 0.500
0.550 0.250 0.292
0.636 0.502 0.894
0.636 0.998 0.894
0.726 0.750 0.120
0.774 0.250 0.620
0.864 0.002 0.394
0.864 0.498 0.394
0.950 0.750 0.792
0.059 0.750 0.194
0.202 0.250 0.409
0.298 0.750 0.909
0.441 0.250 0.694
0.559 0.750 0.306
0.702 0.250 0.091
0.798 0.750 0.591
0.941 0.250 0.806
0.185 0.250 0.050
0.315 0.750 0.550
0.685 0.250 0.450
0.815 0.750 0.950
```


No. 3
For SmTmO4, DFT lattice parameters and positions (PBE) gives the computed XRD peak list in this record (Cu Kα).

Most intense lines, 10 to 90 degrees two-theta, in order of falling intensity:
2theta	d/Å	I (rel.)
29.77	3.002	100
28.69	3.111	59
31.33	2.855	37
26.68	3.341	32
47.25	1.924	28
50.46	1.809	28
31.90	2.806	27
59.01	1.565	20
47.64	1.909	19
56.57	1.627	18

Atomic structure:
```
SmTmO4
1.0
3.365 -1.909 0.000
3.365 1.909 0.000
-0.760 0.000 6.226
Sm Tm O
1 1 4
direct
0.000 0.000 0.000
0.623 0.623 0.541
0.219 0.219 0.342
0.397 0.397 0.220
0.661 0.661 0.904
0.958 0.958 0.616
```


No. 4
For SmTm2UO8, DFT lattice parameters and positions (PBE) gives the computed XRD peak list in this record (Cu Kα).

Most intense lines, 10 to 90 degrees two-theta, in order of falling intensity:
2theta	d/Å	I (rel.)
28.61	3.120	100
29.07	3.072	95
48.20	1.888	80
33.11	2.706	45
56.15	1.638	31
56.95	1.617	29
34.04	2.634	21
46.92	1.937	18
78.29	1.221	16
57.91	1.592	14

Atomic structure:
```
SmTm2UO8
1.0
3.873 0.000 0.000
0.000 5.267 0.000
0.000 0.000 7.562
Sm Tm U O
1 2 1 8
direct
0.000 0.000 0.000
0.500 0.500 0.257
0.500 0.500 0.743
0.000 0.000 0.500
0.000 0.246 0.274
0.000 0.246 0.726
0.000 0.754 0.274
0.000 0.754 0.726
0.500 0.236 0.500
0.500 0.266 0.000
0.500 0.734 0.000
0.500 0.764 0.500
```


No. 5
For Sm4U4O17, DFT lattice parameters and positions (PBE) gives the computed XRD peak list in this record (Cu Kα).

Most intense lines, 10 to 90 degrees two-theta, in order of falling intensity:
2theta	d/Å	I (rel.)
28.40	3.142	100
28.60	3.121	96
47.26	1.923	69
33.22	2.697	47
56.33	1.633	30
56.67	1.624	29
32.64	2.743	25
76.51	1.245	19
47.43	1.917	17
47.95	1.897	16

Atomic structure:
```
Sm4U4O17
1.0
5.487 -7.589 0.000
5.487 7.589 0.000
0.000 0.000 3.833
Sm U O
4 4 17
direct
0.000 0.500 0.500
0.126 0.874 0.000
0.500 0.000 0.500
0.874 0.126 0.000
0.249 0.249 0.500
0.380 0.620 0.000
0.620 0.380 0.000
0.751 0.751 0.500
0.016 0.248 0.500
0.135 0.135 0.000
0.147 0.619 0.000
0.247 0.491 0.500
0.248 0.016 0.500
0.359 0.359 0.000
0.381 0.853 0.000
0.491 0.247 0.500
0.500 0.500 0.500
0.509 0.753 0.500
0.619 0.147 0.000
0.641 0.641 0.000
0.752 0.984 0.500
0.753 0.509 0.500
0.853 0.381 0.000
0.865 0.865 0.000
0.984 0.752 0.500
```


No. 6
For Sm6U3O17, DFT lattice parameters and positions (PBE) gives the computed XRD peak list in this record (Cu Kα).

Most intense lines, 10 to 90 degrees two-theta, in order of falling intensity:
2theta	d/Å	I (rel.)
27.51	3.243	100
28.82	3.097	88
46.71	1.944	29
46.98	1.934	28
32.81	2.730	23
32.45	2.759	23
32.67	2.741	21
45.09	2.011	17
54.16	1.693	15
54.63	1.680	15

Atomic structure:
```
Sm6U3O17
1.0
6.337 -2.741 0.000
6.337 2.741 0.000
-3.450 0.000 10.721
Sm U O
6 3 17
direct
0.001 0.001 0.176
0.270 0.384 0.943
0.333 0.332 0.618
0.616 0.730 0.057
0.668 0.667 0.382
0.999 0.999 0.824
0.346 0.335 0.281
0.665 0.654 0.719
0.989 0.011 0.500
0.064 0.588 0.139
0.092 0.554 0.419
0.218 0.782 0.000
0.238 0.749 0.648
0.251 0.762 0.352
0.361 0.005 0.232
0.412 0.936 0.861
0.446 0.908 0.581
0.561 0.216 0.815
0.565 0.124 0.118
0.610 0.068 0.443
0.747 0.247 0.352
0.753 0.253 0.648
0.784 0.439 0.185
0.876 0.435 0.882
0.932 0.390 0.557
0.995 0.639 0.768
```


Copy entry 5 word for word.
For Sm4U4O17, DFT lattice parameters and positions (PBE) gives the computed XRD peak list in this record (Cu Kα).

Most intense lines, 10 to 90 degrees two-theta, in order of falling intensity:
2theta	d/Å	I (rel.)
28.40	3.142	100
28.60	3.121	96
47.26	1.923	69
33.22	2.697	47
56.33	1.633	30
56.67	1.624	29
32.64	2.743	25
76.51	1.245	19
47.43	1.917	17
47.95	1.897	16

Atomic structure:
```
Sm4U4O17
1.0
5.487 -7.589 0.000
5.487 7.589 0.000
0.000 0.000 3.833
Sm U O
4 4 17
direct
0.000 0.500 0.500
0.126 0.874 0.000
0.500 0.000 0.500
0.874 0.126 0.000
0.249 0.249 0.500
0.380 0.620 0.000
0.620 0.380 0.000
0.751 0.751 0.500
0.016 0.248 0.500
0.135 0.135 0.000
0.147 0.619 0.000
0.247 0.491 0.500
0.248 0.016 0.500
0.359 0.359 0.000
0.381 0.853 0.000
0.491 0.247 0.500
0.500 0.500 0.500
0.509 0.753 0.500
0.619 0.147 0.000
0.641 0.641 0.000
0.752 0.984 0.500
0.753 0.509 0.500
0.853 0.381 0.000
0.865 0.865 0.000
0.984 0.752 0.500
```